Starting from a crystal structure in Alexandria, relaxed with GGA-PBE, the powder X-ray diffraction pattern of Ca2In4Sn was computed for copper Kα.
No peak broadening, texture or thermal motion is included.

Main lines, in order of falling intensity (5° ≤ 2θ ≤ 70°):
2theta	intensity
31.9	100
25.3	61
33.2	56
34.9	49
48.9	27
36.8	26
28.9	24
62.3	18
34.2	17
42.8	15
64.9	15
52.0	13

Atomic structure:
```
Ca2In4Sn
1.0
11.130 0.000 0.000
0.000 11.130 0.000
0.000 0.000 3.397
Ca In Sn
4 8 2
Direct
0.173 0.173 0.000 Ca
0.327 0.673 0.500 Ca
0.673 0.327 0.500 Ca
0.827 0.827 0.000 Ca
0.073 0.671 0.000 In
0.171 0.427 0.500 In
0.329 0.927 0.000 In
0.427 0.171 0.500 In
0.573 0.829 0.500 In
0.671 0.073 0.000 In
0.829 0.573 0.500 In
0.927 0.329 0.000 In
0.000 0.000 0.500 Sn
0.500 0.500 0.000 Sn
```

---

Starting from a crystal structure in Alexandria, relaxed with GGA-PBE, the powder X-ray diffraction pattern of Tb2DyY4Er2 was computed for copper Kα.
No peak broadening, texture or thermal motion is included.

Main lines, in order of falling intensity (5° ≤ 2θ ≤ 70°):
2theta	intensity
32.0	100
33.7	86
31.3	47
29.0	47
61.0	42
51.0	36
55.1	22
40.4	20
58.4	18
61.5	15
62.5	15
45.8	13

Atomic structure:
```
Tb2DyY4Er2
1.0
9.309 -1.792 0.000
9.309 1.792 0.000
-4.137 0.000 8.571
Tb Dy Y Er
2 1 4 2
Direct
0.149 0.149 0.168 Tb
0.851 0.851 0.832 Tb
0.000 0.000 0.500 Dy
0.185 0.185 0.833 Y
0.481 0.481 0.166 Y
0.519 0.519 0.834 Y
0.815 0.815 0.167 Y
0.333 0.333 0.501 Er
0.667 0.667 0.499 Er
```

---

Starting from a crystal structure in Alexandria, relaxed with GGA-PBE, the powder X-ray diffraction pattern of Nb3Ru2 was computed for copper Kα.
No peak broadening, texture or thermal motion is included.

Main lines, in order of falling intensity (5° ≤ 2θ ≤ 70°):
2theta	intensity
39.8	100
39.7	26
39.2	25
57.0	17
58.1	8
44.2	1
67.9	1
34.3	1
11.1	1

Atomic structure:
```
Nb3Ru2
1.0
7.944 -2.298 0.000
7.944 2.298 0.000
0.000 0.000 4.543
Nb Ru
6 4
Direct
0.048 0.562 0.750 Nb
0.234 0.766 0.750 Nb
0.438 0.952 0.750 Nb
0.562 0.048 0.250 Nb
0.766 0.234 0.250 Nb
0.952 0.438 0.250 Nb
0.176 0.627 0.250 Ru
0.373 0.824 0.250 Ru
0.627 0.176 0.750 Ru
0.824 0.373 0.750 Ru
```

---

Starting from a crystal structure in Alexandria, relaxed with GGA-PBE, the powder X-ray diffraction pattern of SmSc5Tl3 was computed for copper Kα.
No peak broadening, texture or thermal motion is included.

Main lines, in order of falling intensity (5° ≤ 2θ ≤ 70°):
2theta	intensity
34.9	100
24.4	83
34.5	81
62.4	28
50.0	28
69.2	27
45.3	25
43.1	19
56.6	18
62.7	18
27.9	15
47.3	15

Atomic structure:
```
SmSc5Tl3
1.0
8.896 0.000 0.000
-4.448 7.704 0.000
0.000 0.000 6.394
Sm Sc Tl
2 10 6
Direct
0.000 0.000 0.000 Sm
0.000 0.000 0.500 Sm
0.000 0.333 0.250 Sc
0.000 0.667 0.750 Sc
0.333 0.000 0.250 Sc
0.333 0.333 0.750 Sc
0.333 0.667 0.000 Sc
0.333 0.667 0.500 Sc
0.667 0.000 0.750 Sc
0.667 0.333 0.000 Sc
0.667 0.333 0.500 Sc
0.667 0.667 0.250 Sc
0.000 0.341 0.750 Tl
0.000 0.659 0.250 Tl
0.341 0.000 0.750 Tl
0.341 0.341 0.250 Tl
0.659 0.000 0.250 Tl
0.659 0.659 0.750 Tl
```